This entry pairs a crystal structure of Na5LiFe2P2C2O14 with its calculated powder X-ray diffraction pattern. Radiation: copper Kα. Structure: a cell relaxed with PBE+U.

Peak list (10 most intense, 2θ from 10° to 80°, sorted by position)
2θ/deg  I (rel.)
20.26  35
26.42  100
30.29  46
32.90  55
33.42  90
34.40  66
38.30  44
41.41  45
49.25  33
54.38  39

```
data_Na5LiFe2P2C2O14
_chemical_formula_sum 'Na5 Li1 Fe2 P2 C2 O14'
_cell_length_a 5.223
_cell_length_b 6.748
_cell_length_c 8.865
_cell_angle_alpha 89.98
_cell_angle_beta 86.70
_cell_angle_gamma 89.84
_symmetry_space_group_name_H-M 'P 1'
_symmetry_Int_Tables_number 1
_symmetry_space_group_name_Hall 'P 1'
loop_
_atom_site_label
_atom_site_fract_x
_atom_site_fract_y
_atom_site_fract_z
Na1 0.000 0.000 0.000
Na2 0.001 0.516 0.001
Na3 0.489 0.759 0.190
Na4 0.523 0.499 0.540
Na5 0.525 0.019 0.541
Li1 0.048 0.259 0.380
Fe1 0.042 0.758 0.614
Fe2 0.483 0.259 0.926
P1 0.543 0.759 0.856
P2 0.983 0.259 0.682
C1 0.574 0.259 0.226
C2 0.974 0.758 0.331
O1 0.061 0.076 0.581
O2 0.061 0.441 0.581
O3 0.115 0.258 0.833
O4 0.197 0.757 0.391
O5 0.328 0.258 0.206
O6 0.409 0.759 0.706
O7 0.466 0.574 0.955
O8 0.467 0.944 0.956
O9 0.663 0.259 0.359
O10 0.686 0.259 0.714
O11 0.735 0.259 0.107
O12 0.771 0.760 0.424
O13 0.841 0.757 0.824
O14 0.956 0.759 0.187
```